Computed powder XRD pattern of SrLaMg6 for Cu Kα X-rays, from DFT lattice parameters and positions (PBE).
Peak positions follow from Bragg's law for the DFT cell and can differ from measured ones.

a = 5.4532 Å, b = 6.8466 Å, c = 6.8466 Å
α = 63.30°, β = 90.00°, γ = 90.00°
Element x y z (fractional)
Sr: 0.0000 0.0000 0.0000
La: 0.5000 0.1977 0.1977
Mg: 0.0000 0.0142 0.5081
Mg: 0.0000 0.5081 0.0142
Mg: 0.0000 0.5078 0.5078
Mg: 0.5000 0.1886 0.6786
Mg: 0.5000 0.6786 0.1886
Mg: 0.5000 0.6898 0.6898

Top 8 peaks for 2θ = 5–70°, by angle:
Position (°2θ)	Rel. int.
14.48	61
21.84	29
22.33	32
30.68	19
30.88	27
32.85	31
33.60	100
34.91	25